# 1
This entry pairs a crystal structure of DyIn5Co with its calculated X-ray powder pattern. Radiation: copper Kα. Structure: a DFT-relaxed cell (PBE, OQMD).

The 12 most intense peaks (5 to 70 degrees two-theta), sorted by position:
2θ (°)  I_rel
19.4  6
30.0  50
35.9  21
36.6  100
39.3  55
45.8  4
54.3  25
56.8  22
64.2  7
65.6  11
69.0  26
69.5  29

Structure:
```
7
Lattice="4.585 0.000 0.000 0.000 4.585 0.000 0.000 0.000 7.498" Properties=species:S:1:pos:R:3 pbc="T T T"
Dy 0.000 0.000 0.000
In 0.000 2.293 2.296
In 0.000 2.293 5.203
In 2.293 0.000 2.296
In 2.293 0.000 5.203
In 2.293 2.293 0.000
Co 0.000 0.000 3.749
```



# 2
This entry pairs a crystal structure of Dy4InCo2Si4 with its calculated X-ray powder pattern. Radiation: copper Kα. Structure: a DFT-relaxed cell (PBE, OQMD).

The 12 most intense peaks (5 to 70 degrees two-theta), sorted by position:
2θ (°)  I_rel
22.3  37
27.1  30
28.4  48
33.8  36
33.9  89
35.3  100
35.5  41
36.8  94
37.9  40
41.1  39
43.7  83
64.5  40

Structure:
```
11
Lattice="7.605 -2.073 0.000 7.605 2.073 0.000 -2.101 0.000 6.590" Properties=species:S:1:pos:R:3 pbc="T T T"
Dy 0.535 0.000 2.522
Dy 0.381 0.000 6.194
Dy 12.729 0.000 0.396
Dy 12.575 0.000 4.067
In 7.605 0.000 0.000
Co 3.489 0.000 2.466
Co 9.620 0.000 4.123
Si 2.893 0.000 4.747
Si 5.851 0.000 2.298
Si 7.258 0.000 4.292
Si 10.216 0.000 1.843
```



# 3
This entry pairs a crystal structure of Dy2ZnInCo with its calculated X-ray powder pattern. Radiation: copper Kα. Structure: a DFT-relaxed cell (PBE, OQMD).

The 12 most intense peaks (5 to 70 degrees two-theta), sorted by position:
2θ (°)  I_rel
28.9  42
33.3  100
35.1  73
38.0  34
38.7  37
44.3  27
49.4  20
56.5  15
57.7  40
58.2  12
64.4  16
68.5  14

Structure:
```
10
Lattice="3.690 0.000 0.000 0.000 4.089 0.000 0.000 0.000 14.173" Properties=species:S:1:pos:R:3 pbc="T T T"
Dy 0.000 0.000 0.000
Dy 0.000 0.000 3.842
Dy 0.000 2.044 7.087
Dy 0.000 2.044 10.929
Zn 1.845 0.000 6.158
Zn 1.845 2.044 13.244
In 1.845 0.000 9.114
In 1.845 2.044 2.028
Co 1.845 0.000 11.922
Co 1.845 2.044 4.835
```



# 4
This entry pairs a crystal structure of LaDyCo2Si2 with its calculated X-ray powder pattern. Radiation: copper Kα. Structure: a DFT-relaxed cell (PBE, OQMD).

The 12 most intense peaks (5 to 70 degrees two-theta), sorted by position:
2θ (°)  I_rel
12.8  8
25.7  96
31.6  29
34.2  100
39.0  18
41.2  68
45.3  49
51.0  5
52.8  30
58.0  48
61.3  19
66.0  17

Structure:
```
6
Lattice="4.004 0.000 0.000 0.000 4.004 0.000 0.000 0.000 6.930" Properties=species:S:1:pos:R:3 pbc="T T T"
La 0.000 0.000 0.000
Dy 2.002 2.002 4.356
Co 0.000 2.002 2.307
Co 2.002 0.000 2.307
Si 0.000 0.000 3.515
Si 2.002 2.002 1.130
```



# 5
This entry pairs a crystal structure of DyLu2Co9 with its calculated X-ray powder pattern. Radiation: copper Kα. Structure: a DFT-relaxed cell (PBE, OQMD).

The 12 most intense peaks (5 to 70 degrees two-theta), sorted by position:
2θ (°)  I_rel
21.2  14
33.6  51
36.5  55
36.7  41
42.6  37
43.2  100
45.2  11
45.4  10
46.7  12
46.8  12
63.9  16
65.8  23

Structure:
```
12
Lattice="2.459 1.419 7.990 -2.459 1.419 7.990 0.000 -2.839 7.990" Properties=species:S:1:pos:R:3 pbc="T T T"
Dy 0.000 0.000 0.000
Lu 0.000 0.000 3.360
Lu 0.000 0.000 20.611
Co -1.245 -0.719 9.971
Co 0.000 0.000 8.032
Co 0.000 -1.438 14.001
Co -1.245 0.719 14.001
Co 0.000 0.000 11.986
Co 1.245 -0.719 9.971
Co 0.000 1.438 9.971
Co 0.000 0.000 15.939
Co 1.245 0.719 14.001
```



# 6
This entry pairs a crystal structure of DyYMg3Co2 with its calculated X-ray powder pattern. Radiation: copper Kα. Structure: a DFT-relaxed cell (PBE, OQMD).

The 12 most intense peaks (5 to 70 degrees two-theta), sorted by position:
2θ (°)  I_rel
8.5  100
25.6  5
26.7  7
33.7  16
35.1  20
35.9  24
38.4  7
39.9  16
45.8  7
47.7  7
48.1  6
60.6  8

Structure:
```
14
Lattice="3.783 0.000 0.000 0.000 3.811 0.000 0.000 0.000 20.852" Properties=species:S:1:pos:R:3 pbc="T T T"
Dy 0.000 0.000 0.000
Dy 0.000 1.906 10.426
Y 0.000 0.000 13.514
Y 0.000 1.906 3.088
Mg 0.000 0.000 17.172
Mg 0.000 1.906 6.746
Mg 1.891 0.000 5.062
Mg 1.891 0.000 8.437
Mg 1.891 1.906 15.488
Mg 1.891 1.906 18.862
Co 1.891 0.000 2.175
Co 1.891 0.000 11.288
Co 1.891 1.906 0.863
Co 1.891 1.906 12.601
```



# 7
This entry pairs a crystal structure of Dy2NbCoSi2 with its calculated X-ray powder pattern. Radiation: copper Kα. Structure: a DFT-relaxed cell (PBE, OQMD).

The 12 most intense peaks (5 to 70 degrees two-theta), sorted by position:
2θ (°)  I_rel
25.7  85
32.2  26
33.4  100
34.5  98
36.6  38
40.7  62
46.2  57
53.6  24
58.2  41
60.3  56
67.4  18
68.0  16

Structure:
```
6
Lattice="3.930 0.000 0.000 0.000 3.930 0.000 0.000 0.000 7.360" Properties=species:S:1:pos:R:3 pbc="T T T"
Dy 0.000 1.965 1.142
Dy 1.965 0.000 6.218
Nb 0.000 0.000 3.680
Co 1.965 1.965 3.680
Si 0.000 1.965 5.334
Si 1.965 0.000 2.027
```



# 8
This entry pairs a crystal structure of NdDyCo2Si4 with its calculated X-ray powder pattern. Radiation: copper Kα. Structure: a DFT-relaxed cell (PBE, OQMD).

The 12 most intense peaks (5 to 70 degrees two-theta), sorted by position:
2θ (°)  I_rel
21.8  33
24.8  31
31.4  24
31.8  79
35.2  73
35.5  100
40.1  39
44.4  35
45.4  31
55.5  22
58.7  33
61.4  27

Structure:
```
16
Lattice="3.995 0.000 0.000 0.000 4.076 0.000 0.000 0.000 16.304" Properties=species:S:1:pos:R:3 pbc="T T T"
Nd 0.000 0.000 0.000
Nd 0.000 2.038 8.152
Dy 1.998 0.000 12.793
Dy 1.998 2.038 4.641
Co 0.000 0.000 3.489
Co 0.000 2.038 11.641
Co 1.998 0.000 9.350
Co 1.998 2.038 1.198
Si 0.000 0.000 5.690
Si 0.000 0.000 10.515
Si 0.000 2.038 2.363
Si 0.000 2.038 13.842
Si 1.998 0.000 2.356
Si 1.998 0.000 7.085
Si 1.998 2.038 10.509
Si 1.998 2.038 15.238
```



# 9
This entry pairs a crystal structure of Dy2YCo2Ni7 with its calculated X-ray powder pattern. Radiation: copper Kα. Structure: a DFT-relaxed cell (PBE, OQMD).

The 12 most intense peaks (5 to 70 degrees two-theta), sorted by position:
2θ (°)  I_rel
10.9  16
33.2  48
36.3  92
42.3  39
42.8  100
44.8  19
46.2  24
46.3  26
63.3  14
65.3  23
69.7  16
69.8  20

Structure:
```
12
Lattice="2.474 1.428 8.113 -2.474 1.428 8.113 0.000 -2.857 8.113" Properties=species:S:1:pos:R:3 pbc="T T T"
Dy 0.000 0.000 3.377
Dy 0.000 0.000 20.962
Y 0.000 0.000 0.000
Co 0.000 0.000 8.112
Co 0.000 0.000 16.227
Ni -1.241 -0.716 10.102
Ni 0.000 -1.433 14.237
Ni -1.241 0.716 14.237
Ni 0.000 0.000 12.169
Ni 1.241 -0.716 10.102
Ni 0.000 1.433 10.102
Ni 1.241 0.716 14.237
```



# 10
This entry pairs a crystal structure of Dy2ZnCoNi with its calculated X-ray powder pattern. Radiation: copper Kα. Structure: a DFT-relaxed cell (PBE, OQMD).

The 12 most intense peaks (5 to 70 degrees two-theta), sorted by position:
2θ (°)  I_rel
27.2  40
32.9  17
35.2  100
37.1  30
39.9  53
41.3  40
44.0  28
44.6  11
58.9  16
60.2  13
60.9  16
61.5  10

Structure:
```
10
Lattice="4.115 0.000 0.000 0.000 8.120 0.000 0.000 0.000 5.447" Properties=species:S:1:pos:R:3 pbc="T T T"
Dy 0.000 1.655 0.000
Dy 0.000 6.465 0.000
Dy 2.058 2.405 2.724
Dy 2.058 5.715 2.724
Zn 0.000 0.000 2.765
Zn 2.058 4.060 0.042
Co 0.000 4.060 1.506
Co 2.058 0.000 4.229
Ni 0.000 4.060 3.976
Ni 2.058 0.000 1.253
```